[1]
Structure and calculated PXRD pattern of ErNiGeIr (a DFT-relaxed cell (GGA-PBE, Alexandria); Cu Kα, 1.54184 Å).

Main lines, sorted by position (2θ from 10° to 80°):
- 20.35 deg, I 51, hkl 1 0 0
- 29.58 deg, I 37, hkl 0 1 1
- 35.45 deg, I 18, hkl 0 0 4
- 36.17 deg, I 100, hkl 1 1 1
- 39.01 deg, I 55, hkl 0 1 3
- 41.22 deg, I 79, hkl 1 0 4
- 41.37 deg, I 46, hkl 2 0 0
- 44.39 deg, I 38, hkl 1 1 3
- 58.17 deg, I 34, hkl 2 1 3
- 73.90 deg, I 28, hkl 1 2 4

Crystal structure
Unit cell a=4.365 b=3.164 c=10.128 alpha=90.00 beta=90.00 gamma=90.00
Space group Amm2 (No. 38)
One atom of each set of equivalent atoms:
Er  0.000  0.000  0.000 [2 per cell]
Ni  0.500  0.000  0.328 [2 per cell]
Ge  0.500  0.000  0.634 [2 per cell]
Ir  0.000  0.000  0.741 [2 per cell]

[2]
Structure and calculated PXRD pattern of Er2ZnGe2Ir5 (a DFT-relaxed cell (GGA-PBE, Alexandria); Cu Kα, 1.54184 Å).

Main lines, sorted by position (2θ from 10° to 80°):
- 32.39 deg, I 31, hkl 2 1 1
- 36.28 deg, I 21, hkl 2 2 1
- 38.42 deg, I 58, hkl 4 1 0
- 38.68 deg, I 100, hkl 3 1 1
- 39.58 deg, I 24, hkl 3 3 0
- 41.82 deg, I 16, hkl 4 2 0
- 42.06 deg, I 39, hkl 3 2 1
- 45.23 deg, I 17, hkl 4 0 1
- 50.77 deg, I 25, hkl 0 0 2
- 65.43 deg, I 25, hkl 4 1 2

Crystal structure
Unit cell a=9.659 b=9.659 c=3.596 alpha=90.00 beta=90.00 gamma=90.00
Space group P4/mbm (No. 127)
One atom of each set of equivalent atoms:
Er  0.173  0.327  0.000 [4 per cell]
Zn  0.000  0.000  0.000 [2 per cell]
Ge  0.128  0.628  0.000 [4 per cell]
Ir  0.000  0.500  0.500 [2 per cell]
Ir  0.065  0.796  0.500 [8 per cell]

[3]
Structure and calculated PXRD pattern of La5Er5Ge6 (a DFT-relaxed cell (GGA-PBE, Alexandria); Cu Kα, 1.54184 Å).

Main lines, sorted by position (2θ from 10° to 80°):
- 29.69 deg, I 32, hkl 2 2 0
- 31.22 deg, I 14, hkl 0 4 2
- 33.98 deg, I 33, hkl 1 1 3
- 34.12 deg, I 62, hkl 2 0 2
- 34.22 deg, I 100, hkl 2 3 1
- 35.40 deg, I 34, hkl 0 3 3
- 35.71 deg, I 17, hkl 0 6 0
- 50.20 deg, I 19, hkl 2 6 2
- 52.71 deg, I 18, hkl 3 5 1
- 55.88 deg, I 20, hkl 2 4 4

Crystal structure
Unit cell a=6.557 b=15.087 c=8.808 alpha=90.00 beta=90.00 gamma=90.00
Space group Amm2 (No. 38)
One atom of each set of equivalent atoms:
La  0.000  0.000  0.000 [2 per cell]
La  0.000  0.122  0.374 [4 per cell]
La  0.500  0.124  0.126 [4 per cell]
Er  0.251  0.166  0.749 [8 per cell]
Er  0.500  0.000  0.505 [2 per cell]
Ge  0.000  0.000  0.649 [2 per cell]
Ge  0.000  0.199  0.052 [4 per cell]
Ge  0.500  0.000  0.846 [2 per cell]
Ge  0.500  0.193  0.453 [4 per cell]

[4]
Structure and calculated PXRD pattern of LaEr4Ge3 (a DFT-relaxed cell (GGA-PBE, Alexandria); Cu Kα, 1.54184 Å).

Main lines, sorted by position (2θ from 10° to 80°):
- 24.12 deg, I 14, hkl 2 0 0
- 29.85 deg, I 34, hkl 1 0 2
- 32.09 deg, I 38, hkl 2 1 0
- 34.55 deg, I 78, hkl 2 -1 2
- 34.97 deg, I 100, hkl 3 -1 1
- 36.53 deg, I 35, hkl 3 0 0
- 51.16 deg, I 22, hkl 2 2 2
- 53.29 deg, I 29, hkl 3 -1 3
- 56.14 deg, I 24, hkl 0 0 4
- 57.32 deg, I 21, hkl 4 0 2

Crystal structure
Unit cell a=8.5205 b=8.5205 c=6.5496 alpha=90.00 beta=90.00 gamma=120.00
Space group P-31m (No. 162)
One atom of each set of equivalent atoms:
La  0.3333  0.6667  0.0000 [2 per cell]
Er  0.0000  0.2402  0.2580 [6 per cell]
Er  0.3333  0.6667  0.5000 [2 per cell]
Ge  0.0000  0.3918  0.7289 [6 per cell]